Simulated powder diffraction line list of SnH8N2F6 for copper Kα, from a crystal structure in the Materials Project, relaxed with PBE.
Kinematic intensities with the Lorentz-polarization factor, no thermal factor.

Crystal structure
Cell lengths 6.2864, 6.2864, 4.8407 Å; angles 90.00, 90.00, 120.00 degrees
Sites, in units of the cell vectors:
Sn 0.0000 0.0000 0.0000
H 0.2447 0.4893 0.5575
H 0.2447 0.7553 0.5575
H 0.3333 0.6667 0.8468
H 0.4893 0.2447 0.4425
H 0.5107 0.7553 0.5575
H 0.6667 0.3333 0.1532
H 0.7553 0.2447 0.4425
H 0.7553 0.5107 0.4425
N 0.3333 0.6667 0.6349
N 0.6667 0.3333 0.3651
F 0.1525 0.3050 0.2327
F 0.1525 0.8475 0.2327
F 0.3050 0.1525 0.7673
F 0.6950 0.8475 0.2327
F 0.8475 0.1525 0.7673
F 0.8475 0.6950 0.7673

Main lines, low angle first (15 to 90 degrees two-theta):
(1 0 0), 16.28°, d 5.444, I = 100
(0 0 1), 18.33°, d 4.841, I = 16
(0 1 1), 24.61°, d 3.618, I = 80
(1 1 0), 28.39°, d 3.143, I = 21
(1 1 1), 34.01°, d 2.636, I = 18
(0 2 1), 37.92°, d 2.373, I = 41
(0 1 2), 40.80°, d 2.212, I = 11
(1 1 2), 47.41°, d 1.918, I = 17
(1 2 1), 48.04°, d 1.894, I = 24
(0 2 2), 50.46°, d 1.809, I = 18
(2 2 0), 58.75°, d 1.572, I = 11
(1 2 2), 58.91°, d 1.568, I = 14